Entry 1:
Theoretical powder diffractogram
Compound: SrCdInNi
Radiation: Cu Ka
Structure: a crystal structure in Alexandria, relaxed with PBE
Neutral-atom scattering factors, no anomalous dispersion.

Most intense lines, 10° ≤ 2θ ≤ 80°, in order of rising 2θ:
hkl 0 0 1, d = 7.939 Å, intensity 19.6
hkl 1 0 1, d = 3.127 Å, intensity 23.8
hkl 0 0 3, d = 2.646 Å, intensity 16.8
hkl 1 0 2, d = 2.583 Å, intensity 100.0
hkl 1 1 0, d = 2.405 Å, intensity 63.2
hkl 1 0 3, d = 2.089 Å, intensity 21.1
hkl 1 1 3, d = 1.780 Å, intensity 20.2
hkl 1 0 4, d = 1.714 Å, intensity 8.7
hkl 2 0 0, d = 1.701 Å, intensity 21.2
hkl 1 0 5, d = 1.439 Å, intensity 9.0
hkl 2 0 3, d = 1.431 Å, intensity 9.7
hkl 2 1 2, d = 1.420 Å, intensity 29.3

Atomic structure:
Cell: 3.4015 3.4015 7.9386 Å, 90.00 90.00 90.00°
Space group P4mm (No. 99)
Symmetry-distinct sites (fractional):
Sr1 0.0000 0.0000 0.0000 [1 per cell]
Cd1 0.5000 0.5000 0.6840 [1 per cell]
In1 0.5000 0.5000 0.3161 [1 per cell]
Ni1 0.0000 0.0000 0.4865 [1 per cell]



Entry 2:
Theoretical powder diffractogram
Compound: ZnCoBi
Radiation: Cu Ka
Structure: a crystal structure in Alexandria, relaxed with PBE
Neutral-atom scattering factors, no anomalous dispersion.

Most intense lines, 10° ≤ 2θ ≤ 80°, in order of rising 2θ:
hkl 0 0 6, d = 3.998 Å, intensity 16.9
hkl 0 1 2, d = 3.417 Å, intensity 82.6
hkl 1 0 4, d = 3.064 Å, intensity 47.4
hkl 0 1 5, d = 2.862 Å, intensity 39.5
hkl 0 0 9, d = 2.666 Å, intensity 15.8
hkl 1 0 7, d = 2.471 Å, intensity 100.0
hkl 1 1 0, d = 2.058 Å, intensity 91.6
hkl 1 0 10, d = 1.990 Å, intensity 20.1
hkl 0 1 11, d = 1.860 Å, intensity 28.7
hkl 1 1 9, d = 1.629 Å, intensity 22.7
hkl 0 2 7, d = 1.581 Å, intensity 25.2
hkl 2 1 7, d = 1.254 Å, intensity 23.3

Atomic structure:
Cell: 4.1165 4.1165 23.9901 Å, 90.00 90.00 120.00°
Space group R3m (No. 160, hexagonal axes)
Symmetry-distinct sites (fractional):
Zn1 0.0000 0.0000 0.0000 [3 per cell]
Zn2 0.0000 0.0000 0.3992 [3 per cell]
Co1 0.0000 0.0000 0.3006 [3 per cell]
Co2 0.0000 0.0000 0.7043 [3 per cell]
Bi1 0.0000 0.0000 0.1279 [3 per cell]
Bi2 0.0000 0.0000 0.5835 [3 per cell]



Entry 3:
Theoretical powder diffractogram
Compound: HoSiIrRh
Radiation: Cu Ka
Structure: a crystal structure in Alexandria, relaxed with PBE
Neutral-atom scattering factors, no anomalous dispersion.

Most intense lines, 10° ≤ 2θ ≤ 80°, in order of rising 2θ:
hkl 0 0 2, d = 4.983 Å, intensity 26.5
hkl 1 1 0, d = 2.779 Å, intensity 100.0
hkl 0 1 3, d = 2.557 Å, intensity 62.1
hkl 1 0 3, d = 2.517 Å, intensity 63.0
hkl 1 1 2, d = 2.427 Å, intensity 31.5
hkl 0 2 0, d = 2.003 Å, intensity 25.1
hkl 2 0 0, d = 1.929 Å, intensity 22.4
hkl 0 1 5, d = 1.785 Å, intensity 19.0
hkl 1 0 5, d = 1.771 Å, intensity 19.2
hkl 1 2 3, d = 1.568 Å, intensity 29.7
hkl 2 1 3, d = 1.540 Å, intensity 26.4
hkl 2 2 0, d = 1.389 Å, intensity 15.3

Atomic structure:
Cell: 3.8576 4.0067 9.9661 Å, 90.00 90.00 90.00°
Space group Imm2 (No. 44)
Symmetry-distinct sites (fractional):
Ho1 0.0000 0.0000 0.0000 [2 per cell]
Si1 0.0000 0.5000 0.2481 [2 per cell]
Ir1 0.0000 0.0000 0.6200 [2 per cell]
Rh1 0.0000 0.0000 0.3632 [2 per cell]